[1]
# BaCo2NiCl8
Computed powder X-ray diffraction pattern, Cu Kα (weighted mean of Kα1 and Kα2). Input: a DFT-relaxed cell (PBE, Alexandria).
Peak positions follow from Bragg's law for the DFT cell and can differ from measured ones.

Cell lengths 6.2473, 6.2473, 8.6228 Å; angles 90.00, 90.00, 120.00 degrees
Positions (direct):
Ba  0.0000  0.0000  0.0000
Co  0.3333  0.6667  0.7275
Co  0.6667  0.3333  0.2725
Ni  0.0000  0.0000  0.5000
Cl  0.0039  0.6966  0.3286
Cl  0.3034  0.3073  0.3286
Cl  0.3073  0.0039  0.6714
Cl  0.3333  0.6667  0.9887
Cl  0.6667  0.3333  0.0113
Cl  0.6927  0.9961  0.3286
Cl  0.6966  0.6927  0.6714
Cl  0.9961  0.3034  0.6714

Peak list (8 most intense, 2θ = 10–90°, sorted by position)
16.38°, 5.410 Å, rel. 51.6
19.37°, 4.583 Å, rel. 63.3
26.43°, 3.372 Å, rel. 100.0
28.58°, 3.124 Å, rel. 79.1
30.44°, 2.937 Å, rel. 88.9
35.49°, 2.530 Å, rel. 67.7
50.61°, 1.803 Å, rel. 60.2
51.51°, 1.774 Å, rel. 65.7

=====

[2]
# K2LaCl4
Computed powder X-ray diffraction pattern, Cu Kα (weighted mean of Kα1 and Kα2). Input: a DFT-relaxed cell (PBE, Alexandria).
Peak positions follow from Bragg's law for the DFT cell and can differ from measured ones.

Cell lengths 9.0442, 9.0442, 9.0442 Å; angles 143.54, 143.54, 52.52 degrees
Positions (direct):
K  0.1384  0.1384  0.0000
K  0.8616  0.8616  0.0000
La  0.5000  0.5000  0.0000
Cl  0.0000  0.5000  0.5000
Cl  0.3266  0.3266  0.0000
Cl  0.5000  0.0000  0.5000
Cl  0.6734  0.6734  0.0000

Peak list (8 most intense, 2θ = 10–90°, sorted by position)
10.91°, 8.111 Å, rel. 100.0
16.59°, 5.343 Å, rel. 90.0
22.22°, 4.001 Å, rel. 81.1
22.75°, 3.909 Å, rel. 55.9
31.62°, 2.829 Å, rel. 89.6
31.79°, 2.815 Å, rel. 61.3
45.45°, 1.995 Å, rel. 43.2
46.46°, 1.955 Å, rel. 43.2